Computed X-ray diffraction stick pattern
Compound: ZrPbS3
Radiation: Cu Ka
Structure: the GGA-PBE geometry in Alexandria
Intensities are scaled so that the largest is 100.

Largest 12 diffraction maxima, by intensity, 2θ = 10–90°:
2θ (°)  d [Å]  I_rel  (hkl)
30.95  2.890  100  2 1 1
21.16  4.199  94  1 0 3
28.27  3.157  57  1 1 2
45.59  1.990  43  3 1 4
39.74  2.268  38  0 1 5
15.75  5.627  37  1 0 2
30.28  2.952  33  2 1 0
35.99  2.495  31  1 1 4
24.18  3.681  31  0 1 1
22.86  3.890  28  2 0 2
58.49  1.578  24  1 1 8
33.17  2.701  22  1 0 5

Structure:
```
data_ZrPbS3
_cell_length_a 9.327
_cell_length_b 3.813
_cell_length_c 14.109
_cell_angle_alpha 90.00
_cell_angle_beta 90.00
_cell_angle_gamma 90.00
_symmetry_space_group_name_H-M 'P n m a'
_symmetry_Int_Tables_number 62
loop_
_symmetry_equiv_pos_as_xyz
'x,y,z'
'-x,-y,-z'
'-x+1/2,-y,z+1/2'
'x+1/2,y,-z+1/2'
'x+1/2,-y+1/2,-z+1/2'
'-x+1/2,y+1/2,z+1/2'
'-x,y+1/2,-z'
'x,-y+1/2,z'
loop_
_atom_site_label
_atom_site_type_symbol
_atom_site_fract_x
_atom_site_fract_y
_atom_site_fract_z
Zr1 Zr 0.164 0.250 0.047
Pb1 Pb 0.031 0.250 0.671
S1 S 0.008 0.250 0.895
S2 S 0.172 0.250 0.488
S3 S 0.232 0.750 0.714
```



Computed X-ray diffraction stick pattern
Compound: ZrPb2S4
Radiation: Cu Ka
Structure: the GGA-PBE geometry in Alexandria
Intensities are scaled so that the largest is 100.

Largest 12 diffraction maxima, by intensity, 2θ = 10–90°:
2θ (°)  d [Å]  I_rel  (hkl)
34.35  2.611  100  2 1 1
26.85  3.320  87  1 1 1
24.34  3.657  87  1 3 0
18.53  4.788  68  1 2 0
25.34  3.515  53  2 1 0
33.60  2.667  46  1 3 1
30.77  2.906  44  1 4 0
49.06  1.857  40  3 3 1
22.81  3.899  38  0 0 1
72.55  1.303  32  4 6 1
44.41  2.040  30  1 5 1
36.56  2.458  29  0 4 1

Structure:
```
data_ZrPb2S4
_cell_length_a 7.318
_cell_length_b 12.664
_cell_length_c 3.899
_cell_angle_alpha 90.00
_cell_angle_beta 90.00
_cell_angle_gamma 90.00
_symmetry_space_group_name_H-M 'P b a m'
_symmetry_Int_Tables_number 55
loop_
_symmetry_equiv_pos_as_xyz
'x,y,z'
'-x,-y,-z'
'-x,-y,z'
'x,y,-z'
'x+1/2,-y+1/2,-z'
'-x+1/2,y+1/2,z'
'-x+1/2,y+1/2,-z'
'x+1/2,-y+1/2,z'
loop_
_atom_site_label
_atom_site_type_symbol
_atom_site_fract_x
_atom_site_fract_y
_atom_site_fract_z
Zr1 Zr 0.000 0.000 0.000
Pb1 Pb 0.118 0.333 0.500
S1 S 0.109 0.806 0.000
S2 S 0.228 0.042 0.500
```



Computed X-ray diffraction stick pattern
Compound: ZrPbS
Radiation: Cu Ka
Structure: the GGA-PBE geometry in Alexandria
Intensities are scaled so that the largest is 100.

Largest 12 diffraction maxima, by intensity, 2θ = 10–90°:
2θ (°)  d [Å]  I_rel  (hkl)
18.34  4.838  100  0 2 0
34.40  2.607  94  3 1 1
32.01  2.796  84  2 0 2
30.76  2.907  52  0 2 2
37.13  2.421  39  2 2 2
27.49  3.245  36  2 2 0
42.72  2.117  35  2 4 0
57.06  1.614  33  3 3 3
39.68  2.271  33  1 1 3
45.01  2.014  32  0 4 2
66.60  1.404  23  5 1 3
43.65  2.074  22  3 3 1

Structure:
```
data_ZrPbS
_cell_length_a 8.752
_cell_length_b 9.675
_cell_length_c 7.274
_cell_angle_alpha 90.00
_cell_angle_beta 90.00
_cell_angle_gamma 90.00
_symmetry_space_group_name_H-M 'C m c e'
_symmetry_Int_Tables_number 64
_symmetry_space_group_name_Hall '-C 2ac 2'
loop_
_atom_site_label
_atom_site_type_symbol
_atom_site_fract_x
_atom_site_fract_y
_atom_site_fract_z
Zr1 Zr 0.000 0.111 0.170
Pb1 Pb 0.191 0.000 0.500
S1 S 0.000 0.154 0.813
```